Entry 1:
Calculated X-ray diffraction stick pattern of La2MgTi2Ag2O8 for Cu Kα (weighted mean of Kα1 and Kα2), from the GGA-PBE geometry in the Materials Project.
Lines closer than 0.1° are merged.

Structural model:
Cell lengths 3.7434, 3.7434, 15.5182 Å; angles 90.00, 90.00, 90.00 degrees
Space group P-4m2 (No. 115)
Inequivalent atoms, fractional coordinates:
La 0.0000 0.5000 0.0941 x2
Mg 0.0000 0.0000 0.5000 x1
Ti 0.0000 0.5000 0.7598 x2
Ag 0.0000 0.5000 0.3719 x2
O 0.0000 0.0000 0.2054 x2
O 0.0000 0.5000 0.6438 x2
O 0.0000 0.5000 0.9408 x2
O 0.5000 0.5000 0.2059 x2

Top 12 peaks for 5 to 70 degrees two-theta, in order of falling intensity:
2θ (°), I (rel.), h k l
29.45, 100.0, 1 0 3
33.86, 51.1, 1 1 0
41.29, 30.3, 1 1 4
48.65, 30.2, 2 0 0
5.70, 29.5, 0 0 1
57.90, 29.1, 2 1 3
24.46, 23.4, 1 0 1
22.92, 18.9, 0 0 4
49.26, 12.7, 1 1 6
40.70, 12.3, 0 0 7
33.26, 11.3, 1 0 4
37.65, 10.9, 1 0 5

=====

Entry 2:
Calculated X-ray diffraction stick pattern of La2MgTi3Ag2O10 for Cu Kα (weighted mean of Kα1 and Kα2), from the GGA-PBE geometry in the Materials Project.
Lines closer than 0.1° are merged.

Structural model:
Cell lengths 3.8948, 3.8948, 37.5976 Å; angles 90.00, 90.00, 90.00 degrees
Space group I4/mmm (No. 139)
Inequivalent atoms, fractional coordinates:
La 0.0000 0.0000 0.0856 x4
Mg 0.0000 0.0000 0.0000 x2
Ti 0.0000 0.0000 0.3597 x4
Ti 0.0000 0.0000 0.5000 x2
Ag 0.0000 0.0000 0.2440 x4
O 0.0000 0.0000 0.3159 x4
O 0.0000 0.0000 0.4458 x4
O 0.0000 0.5000 0.0000 x4
O 0.0000 0.5000 0.1218 x8

Top 12 peaks for 5 to 70 degrees two-theta, in order of falling intensity:
2θ (°), I (rel.), h k l
32.51, 100.0, 1 1 0
28.30, 95.4, 1 0 7
14.13, 93.5, 0 0 6
43.76, 59.6, 1 1 12
46.64, 59.2, 2 0 0
35.61, 56.5, 1 1 6
25.76, 45.2, 1 0 5
18.88, 41.6, 0 0 8
28.49, 37.7, 0 0 12
55.46, 28.1, 2 1 7
55.19, 25.7, 1 1 18
38.78, 25.0, 1 0 13

=====

Entry 3:
Calculated X-ray diffraction stick pattern of La2MgTi2Ag2O8 for Cu Kα (weighted mean of Kα1 and Kα2), from the GGA-PBE geometry in the Materials Project.
Lines closer than 0.1° are merged.

Structural model:
Cell lengths 3.7434, 3.7744, 15.9761 Å; angles 90.00, 90.00, 90.00 degrees
Space group Pmm2 (No. 25)
Inequivalent atoms, fractional coordinates:
La 0.0000 0.0000 0.0000 x1
La 0.5000 0.5000 0.1826 x1
Mg 0.5000 0.0000 0.4800 x1
Ti 0.0000 0.0000 0.3174 x1
Ti 0.5000 0.5000 0.8611 x1
Ag 0.0000 0.0000 0.6637 x1
Ag 0.5000 0.5000 0.6106 x1
O 0.0000 0.0000 0.1574 x1
O 0.0000 0.0000 0.4331 x1
O 0.0000 0.5000 0.2894 x1
O 0.0000 0.5000 0.8979 x1
O 0.5000 0.0000 0.2967 x1
O 0.5000 0.0000 0.8976 x1
O 0.5000 0.5000 0.0390 x1
O 0.5000 0.5000 0.7510 x1

Top 12 peaks for 5 to 70 degrees two-theta, in order of falling intensity:
2θ (°), I (rel.), h k l
33.71, 100.0, 1 1 0
29.16, 66.6, 1 0 3
29.00, 56.7, 0 1 3
11.08, 55.1, 0 0 2
16.65, 43.1, 0 0 3
35.60, 39.8, 1 1 2
57.35, 32.4, 0 1 9
5.53, 32.1, 0 0 1
44.33, 31.4, 1 1 5
48.22, 25.2, 0 2 0
48.65, 24.9, 2 0 0
48.39, 23.4, 1 1 6

=====

Entry 4:
Calculated X-ray diffraction stick pattern of LaNb2AgO7 for Cu Kα (weighted mean of Kα1 and Kα2), from the GGA-PBE geometry in the Materials Project.
Lines closer than 0.1° are merged.

Structural model:
Cell lengths 3.9357, 3.9357, 21.9150 Å; angles 90.00, 90.00, 90.00 degrees
Space group I-4m2 (No. 119)
Inequivalent atoms, fractional coordinates:
La 0.0000 0.0000 0.0000 x2
Nb 0.0000 0.0000 0.3962 x4
Ag 0.0000 0.5000 0.7500 x2
O 0.0000 0.0000 0.3131 x4
O 0.0000 0.0000 0.5000 x2
O 0.0000 0.5000 0.0836 x4
O 0.0000 0.5000 0.5839 x4

Top 12 peaks for 5 to 70 degrees two-theta, in order of falling intensity:
2θ (°), I (rel.), h k l
25.71, 100.0, 1 0 3
30.53, 91.6, 1 0 5
8.07, 58.9, 0 0 2
33.21, 54.7, 1 1 2
46.13, 47.8, 2 0 0
53.20, 39.9, 1 1 10
56.33, 33.2, 2 1 5
22.96, 31.9, 1 0 1
53.56, 25.1, 2 1 3
36.68, 23.7, 1 0 7
40.76, 21.4, 1 1 6
32.69, 18.2, 0 0 8

=====

Entry 5:
Calculated X-ray diffraction stick pattern of LaAgO2 for Cu Kα (weighted mean of Kα1 and Kα2), from the GGA-PBE geometry in the Materials Project.
Lines closer than 0.1° are merged.

Structural model:
Cell lengths 3.8366, 3.8366, 18.6928 Å; angles 90.00, 90.00, 120.00 degrees
Space group R-3m (No. 166, hexagonal axes)
Inequivalent atoms, fractional coordinates:
La 0.0000 0.0000 0.0000 x3
Ag 0.0000 0.0000 0.5000 x3
O 0.0000 0.0000 0.3891 x6

Top 12 peaks for 5 to 70 degrees two-theta, in order of falling intensity:
2θ (°), I (rel.), h k l
28.51, 100.0, 0 1 2
33.08, 48.9, 1 0 4
56.29, 38.4, 2 0 2
47.39, 29.0, 1 1 0
47.58, 27.1, 0 1 8
28.65, 27.0, 0 0 6
56.48, 15.9, 1 0 10
59.01, 9.5, 0 2 4
69.41, 8.3, 2 0 8
14.21, 4.8, 0 0 3
59.33, 3.5, 0 0 12
36.17, 2.5, 0 1 5

=====

Entry 6:
Calculated X-ray diffraction stick pattern of La2AgO4 for Cu Kα (weighted mean of Kα1 and Kα2), from the GGA-PBE geometry in the Materials Project.
Lines closer than 0.1° are merged.

Structural model:
Cell lengths 4.1273, 4.1273, 12.9865 Å; angles 90.00, 90.00, 90.00 degrees
Space group I4/mmm (No. 139)
Inequivalent atoms, fractional coordinates:
La 0.0000 0.0000 0.1384 x4
Ag 0.0000 0.0000 0.5000 x2
O 0.0000 0.0000 0.3052 x4
O 0.0000 0.5000 0.0000 x4

Top 12 peaks for 5 to 70 degrees two-theta, in order of falling intensity:
2θ (°), I (rel.), h k l
29.91, 100.0, 1 0 3
30.63, 69.1, 1 1 0
54.01, 38.5, 2 1 3
43.87, 34.4, 2 0 0
41.06, 24.1, 1 0 5
61.65, 13.4, 2 1 5
41.61, 11.8, 1 1 4
63.78, 10.5, 2 2 0
52.65, 10.5, 1 1 6
62.15, 9.5, 2 0 6
13.64, 9.1, 0 0 2
41.73, 8.4, 0 0 6

=====

Entry 7:
Calculated X-ray diffraction stick pattern of LaAgO2 for Cu Kα (weighted mean of Kα1 and Kα2), from the GGA-PBE geometry in the Materials Project.
Lines closer than 0.1° are merged.

Structural model:
Cell lengths 3.8382, 3.8382, 12.4768 Å; angles 90.00, 90.00, 120.00 degrees
Space group P6_3/mmc (No. 194)
Inequivalent atoms, fractional coordinates:
La 0.0000 0.0000 0.0000 x2
Ag 0.3333 0.6667 0.2500 x2
O 0.3333 0.6667 0.0838 x4

Top 12 peaks for 5 to 70 degrees two-theta, in order of falling intensity:
2θ (°), I (rel.), h k l
30.47, 100.0, 1 0 2
27.77, 48.0, 1 0 1
47.37, 33.2, 1 1 0
28.62, 30.9, 0 0 4
51.86, 27.9, 1 0 6
56.28, 27.7, 1 1 4
57.37, 16.5, 2 0 2
45.45, 11.6, 1 0 5
39.62, 11.3, 1 0 4
34.54, 9.9, 1 0 3
26.82, 7.9, 1 0 0
55.80, 6.0, 2 0 1

=====

Entry 8:
Calculated X-ray diffraction stick pattern of La2AgS2O for Cu Kα (weighted mean of Kα1 and Kα2), from the GGA-PBE geometry in the Materials Project.
Lines closer than 0.1° are merged.

Structural model:
Cell lengths 5.2621, 5.2621, 13.9902 Å; angles 90.00, 90.00, 90.00 degrees
Space group P4/mmm (No. 123)
Inequivalent atoms, fractional coordinates:
La 0.0000 0.0000 0.1533 x2
Ag 0.0000 0.0000 0.5000 x1
S 0.0000 0.0000 0.3322 x2
O 0.0000 0.0000 0.0000 x1

Top 12 peaks for 5 to 70 degrees two-theta, in order of falling intensity:
2θ (°), I (rel.), h k l
16.85, 100.0, 1 0 0
23.92, 43.1, 1 1 0
25.52, 28.4, 1 0 3
38.25, 24.4, 2 1 0
30.74, 19.7, 1 1 3
34.08, 16.9, 2 0 0
42.40, 15.5, 1 0 6
43.05, 15.1, 2 1 3
19.03, 13.6, 0 0 3
55.48, 13.6, 2 1 6
45.93, 12.2, 1 1 6
39.32, 9.1, 2 0 3